No. 1
Computed PXRD pattern of KRbNa for Cu Kα (λ = 1.5418 Å), from a DFT-relaxed cell (GGA-PBE, Alexandria).
Kinematic intensities with the Lorentz-polarization factor, no thermal factor.

Most intense lines, 10 to 90 degrees two-theta, low angle first:
2theta, I/Imax
13.86, 14.1
18.66, 24.3
22.11, 22.8
24.33, 24.4
24.88, 100.0
25.08, 21.7
32.38, 12.8
35.22, 14.0
35.49, 10.7
43.15, 13.4
43.97, 11.6
49.04, 17.3

Cell: 8.5092 8.5092 12.3286 Å, 90.00 90.00 118.60°
Element x y z (fractional)
K 0.1384 0.3616 0.2500
K 0.3616 0.1384 0.7500
K 0.6384 0.8616 0.2500
K 0.8616 0.6384 0.7500
Rb 0.1451 0.8549 0.4107
Rb 0.3549 0.6451 0.9107
Rb 0.6451 0.3549 0.0893
Rb 0.8549 0.1451 0.5893
Na 0.1043 0.8957 0.0725
Na 0.3957 0.6043 0.5725
Na 0.6043 0.3957 0.4275
Na 0.8957 0.1043 0.9275



No. 2
Computed PXRD pattern of TaCu4Pb for Cu Kα (λ = 1.5418 Å), from a DFT-relaxed cell (GGA-PBE, Alexandria).
Kinematic intensities with the Lorentz-polarization factor, no thermal factor.

Most intense lines, 10 to 90 degrees two-theta, low angle first:
2theta, I/Imax
21.54, 18.5
24.92, 0.5
35.53, 69.1
41.93, 100.0
43.89, 13.2
51.12, 1.1
56.10, 5.2
63.80, 26.0
68.18, 31.0
75.21, 22.3
79.31, 4.3
86.04, 11.9

Cell: 5.0533 5.0533 5.0533 Å, 60.00 60.00 60.00°
Element x y z (fractional)
Ta 0.0000 0.0000 0.0000
Cu 0.1206 0.6265 0.6265
Cu 0.6265 0.1206 0.6265
Cu 0.6265 0.6265 0.1206
Cu 0.6265 0.6265 0.6265
Pb 0.2500 0.2500 0.2500



No. 3
Computed PXRD pattern of Pm3Ni2Hg2 for Cu Kα (λ = 1.5418 Å), from a DFT-relaxed cell (GGA-PBE, Alexandria).
Kinematic intensities with the Lorentz-polarization factor, no thermal factor.

Most intense lines, 10 to 90 degrees two-theta, low angle first:
2theta, I/Imax
28.36, 100.0
31.50, 60.9
31.73, 89.9
33.17, 24.3
35.04, 74.5
36.14, 85.4
39.20, 78.0
42.44, 22.1
46.85, 53.5
47.58, 23.7
59.82, 32.0
62.04, 23.6

Cell: 11.3607 3.8789 8.2166 Å, 90.00 110.78 90.00°
Element x y z (fractional)
Pm 0.0000 0.0000 0.0000
Pm 0.1850 0.0000 0.6831
Pm 0.3150 0.5000 0.3169
Pm 0.5000 0.5000 0.0000
Pm 0.6850 0.5000 0.6831
Pm 0.8150 0.0000 0.3169
Ni 0.1886 0.5000 0.9373
Ni 0.3114 0.0000 0.0627
Ni 0.6886 0.0000 0.9373
Ni 0.8114 0.5000 0.0627
Hg 0.0439 0.5000 0.3366
Hg 0.4561 0.0000 0.6634
Hg 0.5439 0.0000 0.3366
Hg 0.9561 0.5000 0.6634